# 1
Theoretical powder diffractogram
Compound: LiTb3
Radiation: Cu Kα X-rays
Structure: a cell relaxed with GGA-PBE
Kinematic intensities with the Lorentz-polarization factor, no thermal factor.

```
LiTb3
1.0
4.8929 0.0000 0.0000
0.0000 4.8929 0.0000
0.0000 0.0000 4.8929
Li Tb
1 3
Cartesian
0.0000 0.0000 0.0000
0.0000 2.4464 2.4464
2.4464 0.0000 2.4464
2.4464 2.4464 0.0000
```

Peak list (10 most intense, 2θ from 10° to 90°, in order of rising 2θ)
index	2θ/deg	d_spacing	intensity
1 0 0	18.1	4.893	30
1 1 0	25.7	3.460	26
1 1 1	31.7	2.825	100
2 0 0	36.7	2.446	50
2 1 0	41.3	2.188	15
2 2 0	52.9	1.730	36
3 1 1	63.0	1.475	42
2 2 2	66.2	1.412	12
3 3 1	86.8	1.122	18
4 2 0	89.6	1.094	17

---

# 2
Theoretical powder diffractogram
Compound: Hf2SiAs3
Radiation: Cu Kα X-rays
Structure: a cell relaxed with GGA-PBE
Kinematic intensities with the Lorentz-polarization factor, no thermal factor.

```
Hf2SiAs3
1.0
3.6600 0.0000 0.0000
0.0000 3.6600 0.0000
0.0000 0.0000 8.2076
Hf Si As
2 1 3
Cartesian
0.0000 1.8300 1.9377
1.8300 0.0000 6.2699
0.0000 0.0000 4.1038
0.0000 1.8300 7.2684
1.8300 0.0000 0.9392
1.8300 1.8300 4.1038
```

Peak list (10 most intense, 2θ from 10° to 90°, in order of rising 2θ)
index	2θ/deg	d_spacing	intensity
0 0 2	21.7	4.104	15
1 0 1	26.7	3.343	49
0 0 3	32.8	2.734	14
1 1 0	34.7	2.588	32
1 1 1	36.4	2.468	22
1 0 3	41.2	2.190	100
2 0 0	49.8	1.830	26
2 1 1	57.4	1.605	12
2 1 3	66.6	1.405	26
3 0 3	87.6	1.114	17

---

# 3
Theoretical powder diffractogram
Compound: Li2CdSiO4
Radiation: Cu Kα X-rays
Structure: a cell relaxed with GGA-PBE
Kinematic intensities with the Lorentz-polarization factor, no thermal factor.

```
Li2CdSiO4
1.0
10.8882 0.0000 0.0000
0.0000 6.5267 0.0000
0.0000 0.0000 5.1904
Li Cd Si O
8 4 4 16
Cartesian
0.9654 0.0047 0.8937
0.9654 3.2587 0.8937
4.4787 3.2680 3.4889
4.4787 6.5220 3.4889
6.4095 0.0047 1.7014
6.4095 3.2587 1.7014
9.9228 3.2680 4.2966
9.9228 6.5220 4.2966
1.7824 1.6317 3.4887
3.6617 4.8950 0.8935
7.2265 1.6317 4.2969
9.1059 4.8950 1.7017
1.7095 4.8950 3.4627
3.7346 1.6317 0.8675
7.1537 4.8950 4.3229
9.1787 1.6317 1.7277
0.9587 3.5693 4.1055
0.9587 6.2208 4.1055
1.5875 4.8950 1.8126
2.1131 1.6317 1.2632
3.3310 4.8950 3.8584
3.8566 1.6317 4.4078
4.4854 0.3059 1.5103
4.4854 2.9574 1.5103
6.4028 3.5693 3.6801
6.4028 6.2208 3.6801
7.0316 4.8950 0.7826
7.5572 1.6317 1.3320
8.7751 4.8950 3.9272
9.3007 1.6317 3.3778
9.9295 0.3059 1.0849
9.9295 2.9574 1.0849
```

Peak list (10 most intense, 2θ from 10° to 90°, in order of rising 2θ)
index	2θ/deg	d_spacing	intensity
2 0 0	16.3	5.444	39
2 1 0	21.3	4.181	36
0 1 1	21.9	4.062	37
2 0 1	23.7	3.757	100
0 2 0	27.3	3.262	68
2 2 0	32.0	2.799	38
4 0 0	32.9	2.722	27
0 0 2	34.6	2.595	28
2 2 1	36.5	2.464	28
0 3 1	45.2	2.008	36